For In2SnPd7, a cell relaxed with GGA-PBE gives the theoretical powder diffraction line list in this record (CuKα).
Kinematic intensities with the Lorentz-polarization factor, no thermal factor.

Peak list (10 most intense, 2θ from 15° to 90°, sorted by position)
2θ (°)  I/Imax
21.15  38.0
24.01  21.7
25.20  30.3
35.47  29.3
40.86  99.9
43.01  100.0
46.32  24.1
65.09  17.2
76.30  30.0
77.44  14.9

Atomic structure:
Cell: 7.858 7.858 4.201 Å, 90.00 90.00 123.72°
Fractional coordinates of all 10 atoms:
In  0.195  0.805  0.000
In  0.805  0.195  0.000
Sn  0.500  0.500  0.500
Pd  0.000  0.000  0.000
Pd  0.216  0.417  0.000
Pd  0.309  0.691  0.500
Pd  0.417  0.216  0.000
Pd  0.583  0.784  0.000
Pd  0.691  0.309  0.500
Pd  0.784  0.583  0.000


For Ac2SmY7, a cell relaxed with GGA-PBE gives the theoretical powder diffraction line list in this record (CuKα).
Kinematic intensities with the Lorentz-polarization factor, no thermal factor.

Peak list (10 most intense, 2θ from 15° to 90°, sorted by position)
2θ (°)  I/Imax
21.00  24.7
24.71  37.0
29.80  62.5
30.20  100.0
30.31  75.2
31.24  57.4
32.65  81.3
33.13  29.1
41.11  25.7
52.60  24.5

Atomic structure:
Cell: 5.854 8.451 8.454 Å, 112.65 101.24 101.42°
Fractional coordinates of all 10 atoms:
Ac  0.082  0.220  0.222
Ac  0.918  0.780  0.778
Sm  0.000  0.500  0.000
Y  0.000  0.000  0.500
Y  0.330  0.731  0.477
Y  0.334  0.477  0.732
Y  0.499  0.872  0.130
Y  0.501  0.128  0.870
Y  0.666  0.523  0.268
Y  0.670  0.269  0.523


For LiTl6Sb8, a cell relaxed with GGA-PBE gives the theoretical powder diffraction line list in this record (CuKα).
Kinematic intensities with the Lorentz-polarization factor, no thermal factor.

Peak list (10 most intense, 2θ from 15° to 90°, sorted by position)
2θ (°)  I/Imax
23.55  14.1
28.21  32.3
29.56  100.0
30.22  26.2
34.46  58.2
35.44  24.8
49.09  14.0
49.97  24.5
58.51  17.8
59.51  12.6

Atomic structure:
Cell: 8.193 8.193 8.193 Å, 73.65 73.65 73.65°
Fractional coordinates of all 15 atoms:
Li  0.000  0.000  0.000
Tl  0.183  0.425  0.644
Tl  0.356  0.817  0.575
Tl  0.425  0.644  0.183
Tl  0.575  0.356  0.817
Tl  0.644  0.183  0.425
Tl  0.817  0.575  0.356
Sb  0.016  0.872  0.394
Sb  0.128  0.606  0.984
Sb  0.168  0.168  0.168
Sb  0.394  0.016  0.872
Sb  0.606  0.984  0.128
Sb  0.832  0.832  0.832
Sb  0.872  0.394  0.016
Sb  0.984  0.128  0.606


For K2ZrBr5, a cell relaxed with GGA-PBE gives the theoretical powder diffraction line list in this record (CuKα).
Kinematic intensities with the Lorentz-polarization factor, no thermal factor.

Peak list (10 most intense, 2θ from 15° to 90°, sorted by position)
2θ (°)  I/Imax
19.38  39.6
25.87  24.8
29.02  99.4
30.43  100.0
31.20  22.9
36.33  23.6
40.36  30.2
43.57  30.8
45.21  30.6
49.55  25.6

Atomic structure:
Cell: 7.451 7.449 8.309 Å, 56.12 56.10 67.79°
Fractional coordinates of all 8 atoms:
K  0.000  0.000  0.500
K  0.500  0.500  0.000
Zr  0.202  0.202  0.798
Br  0.051  0.495  0.505
Br  0.053  0.496  0.947
Br  0.495  0.051  0.949
Br  0.496  0.053  0.504
Br  0.930  0.930  0.070